Record 1
The following is a simulated X-ray diffraction stick pattern of Ta4PbO11. It was derived from the GGA-PBE geometry in Alexandria, using a wavelength of 1.5418 Å.
Peak positions follow from Bragg's law for the DFT cell and can differ from measured ones.

Main lines, sorted by position (2θ from 10° to 80°):
16.4°, intensity 18
28.7°, intensity 49
29.2°, intensity 67
31.8°, intensity 100
35.8°, intensity 24
50.2°, intensity 33
52.9°, intensity 29
58.8°, intensity 36

Structure:
Unit cell a=12.9646 b=12.9646 c=12.9646 alpha=28.12 beta=28.12 gamma=28.12
Atoms (fractional coordinates):
Ta  0.0000  0.3566  0.6434
Ta  0.1323  0.8677  0.5000
Ta  0.2494  0.2494  0.2494
Ta  0.3566  0.6434  0.0000
Ta  0.5000  0.1323  0.8677
Ta  0.6434  0.0000  0.3566
Ta  0.7506  0.7506  0.7506
Ta  0.8677  0.5000  0.1323
Pb  0.4176  0.4176  0.4176
Pb  0.5824  0.5824  0.5824
O  0.0000  0.7567  0.2433
O  0.0025  0.3319  0.5107
O  0.0259  0.8032  0.5144
O  0.1564  0.1564  0.1564
O  0.1968  0.9741  0.4856
O  0.2433  0.0000  0.7567
O  0.2507  0.5000  0.7493
O  0.3319  0.5107  0.0025
O  0.3438  0.3438  0.3438
O  0.4856  0.1968  0.9741
O  0.4893  0.6681  0.9975
O  0.5000  0.7493  0.2507
O  0.5107  0.0025  0.3319
O  0.5144  0.0259  0.8032
O  0.6562  0.6562  0.6562
O  0.6681  0.9975  0.4893
O  0.7493  0.2507  0.5000
O  0.7567  0.2433  0.0000
O  0.8032  0.5144  0.0259
O  0.8436  0.8436  0.8436
O  0.9741  0.4856  0.1968
O  0.9975  0.4893  0.6681



Record 2
The following is a simulated X-ray diffraction stick pattern of Ta8Pb6O25. It was derived from the GGA-PBE geometry in Alexandria, using a wavelength of 1.5418 Å.
Peak positions follow from Bragg's law for the DFT cell and can differ from measured ones.

Main lines, sorted by position (2θ from 10° to 80°):
29.0°, intensity 100
33.5°, intensity 14
33.7°, intensity 13
33.8°, intensity 13
48.2°, intensity 14
48.3°, intensity 21
57.1°, intensity 15
57.3°, intensity 7

Structure:
Unit cell a=7.5504 b=7.5504 c=10.6009 alpha=90.12 beta=90.12 gamma=90.30
Atoms (fractional coordinates):
Ta  0.1218  0.1218  0.3732
Ta  0.1239  0.6228  0.3740
Ta  0.3730  0.3676  0.1215
Ta  0.3772  0.8761  0.6260
Ta  0.6276  0.1217  0.8770
Ta  0.6324  0.6270  0.8785
Ta  0.8783  0.3724  0.1230
Ta  0.8782  0.8782  0.6268
Pb  0.1384  0.6494  0.8879
Pb  0.3506  0.8616  0.1121
Pb  0.3745  0.3685  0.6334
Pb  0.6256  0.1242  0.3650
Pb  0.6315  0.6255  0.3666
Pb  0.8758  0.3744  0.6350
O  0.1242  0.3846  0.0658
O  0.1252  0.8690  0.6844
O  0.1278  0.3740  0.4417
O  0.1310  0.8748  0.3156
O  0.3104  0.1885  0.2501
O  0.3116  0.5650  0.2482
O  0.3154  0.0670  0.4999
O  0.3163  0.6837  0.5000
O  0.4350  0.6884  0.7518
O  0.4382  0.1865  0.0009
O  0.4398  0.5602  0.0000
O  0.4424  0.0685  0.7435
O  0.6154  0.8758  0.9342
O  0.6223  0.3756  0.1951
O  0.6244  0.3777  0.8049
O  0.6260  0.8722  0.5583
O  0.6267  0.3733  0.5000
O  0.8032  0.1968  0.0000
O  0.8097  0.0658  0.7468
O  0.8115  0.6896  0.7499
O  0.8135  0.5618  0.9991
O  0.9315  0.5576  0.2565
O  0.9330  0.6846  0.5001
O  0.9336  0.0664  0.5000
O  0.9342  0.1903  0.2532



Record 3
The following is a simulated X-ray diffraction stick pattern of Ta5Pb11O26. It was derived from the GGA-PBE geometry in Alexandria, using a wavelength of 1.5418 Å.
Peak positions follow from Bragg's law for the DFT cell and can differ from measured ones.

Main lines, sorted by position (2θ from 10° to 80°):
28.2°, intensity 35
28.5°, intensity 100
32.7°, intensity 19
33.0°, intensity 37
46.9°, intensity 19
47.4°, intensity 29
55.8°, intensity 20
56.3°, intensity 21

Structure:
Unit cell a=7.6766 b=7.6766 c=13.4631 alpha=107.04 beta=107.04 gamma=59.93
Atoms (fractional coordinates):
Ta  0.0000  0.0000  0.0000
Ta  0.0000  0.5000  0.0000
Ta  0.0000  0.5000  0.5000
Ta  0.5000  0.0000  0.0000
Ta  0.5000  0.0000  0.5000
Pb  0.0000  0.0000  0.5000
Pb  0.2476  0.2476  0.7408
Pb  0.2492  0.2492  0.2451
Pb  0.2508  0.7434  0.7420
Pb  0.2566  0.7492  0.2580
Pb  0.5000  0.5000  0.0000
Pb  0.5000  0.5000  0.5000
Pb  0.7434  0.2508  0.7420
Pb  0.7492  0.2566  0.2580
Pb  0.7508  0.7508  0.7549
Pb  0.7524  0.7524  0.2592
O  0.0088  0.4266  0.3450
O  0.0716  0.5054  0.1562
O  0.0800  0.0800  0.1549
O  0.0899  0.7167  0.0230
O  0.1923  0.6217  0.5336
O  0.2271  0.2271  0.5259
O  0.2833  0.9101  0.9770
O  0.2848  0.2848  0.9813
O  0.3783  0.8077  0.4664
O  0.4226  0.4226  0.3288
O  0.4266  0.0088  0.3450
O  0.4307  0.4307  0.7998
O  0.4946  0.9284  0.8438
O  0.5054  0.0716  0.1562
O  0.5693  0.5693  0.2002
O  0.5734  0.9912  0.6550
O  0.5774  0.5774  0.6712
O  0.6217  0.1923  0.5336
O  0.7152  0.7152  0.0187
O  0.7167  0.0899  0.0230
O  0.7729  0.7729  0.4741
O  0.8077  0.3783  0.4664
O  0.9101  0.2833  0.9770
O  0.9200  0.9200  0.8451
O  0.9284  0.4946  0.8438
O  0.9912  0.5734  0.6550



Record 4
The following is a simulated X-ray diffraction stick pattern of Ta2PbO6. It was derived from the GGA-PBE geometry in Alexandria, using a wavelength of 1.5418 Å.
Peak positions follow from Bragg's law for the DFT cell and can differ from measured ones.

Main lines, sorted by position (2θ from 10° to 80°):
22.3°, intensity 16
28.0°, intensity 100
29.5°, intensity 12
33.8°, intensity 13
33.9°, intensity 14
48.6°, intensity 14
48.8°, intensity 14
57.1°, intensity 14

Structure:
Unit cell a=15.8574 b=6.0640 c=5.3114 alpha=90.00 beta=90.00 gamma=90.00
Atoms (fractional coordinates):
Ta  0.1705  0.1767  0.2076
Ta  0.1705  0.8233  0.7076
Ta  0.3295  0.3233  0.7076
Ta  0.3295  0.6767  0.2076
Ta  0.6705  0.3233  0.7924
Ta  0.6705  0.6767  0.2924
Ta  0.8295  0.1767  0.2924
Ta  0.8295  0.8233  0.7924
Pb  0.0000  0.2863  0.7500
Pb  0.0000  0.7137  0.2500
Pb  0.5000  0.2137  0.2500
Pb  0.5000  0.7863  0.7500
O  0.0932  0.3850  0.1184
O  0.0932  0.6150  0.6184
O  0.1122  0.0697  0.5073
O  0.1122  0.9303  0.0073
O  0.2442  0.1473  0.8869
O  0.2442  0.8527  0.3869
O  0.2558  0.3527  0.3869
O  0.2558  0.6473  0.8869
O  0.3878  0.4303  0.0073
O  0.3878  0.5697  0.5073
O  0.4068  0.1150  0.6184
O  0.4068  0.8850  0.1184
O  0.5932  0.1150  0.8816
O  0.5932  0.8850  0.3816
O  0.6122  0.4303  0.4927
O  0.6122  0.5697  0.9927
O  0.7442  0.3527  0.1131
O  0.7442  0.6473  0.6131
O  0.7558  0.1473  0.6131
O  0.7558  0.8527  0.1131
O  0.8878  0.0697  0.9927
O  0.8878  0.9303  0.4927
O  0.9068  0.3850  0.3816
O  0.9068  0.6150  0.8816



Record 5
The following is a simulated X-ray diffraction stick pattern of Ta6Pb4O19. It was derived from the GGA-PBE geometry in Alexandria, using a wavelength of 1.5418 Å.
Peak positions follow from Bragg's law for the DFT cell and can differ from measured ones.

Main lines, sorted by position (2θ from 10° to 80°):
14.4°, intensity 18
28.9°, intensity 32
29.1°, intensity 100
33.6°, intensity 35
33.8°, intensity 17
48.3°, intensity 19
48.5°, intensity 28
57.5°, intensity 20

Structure:
Unit cell a=7.5359 b=7.5359 c=18.4384 alpha=90.41 beta=90.41 gamma=59.80
Atoms (fractional coordinates):
Ta  0.0000  0.0000  0.0000
Ta  0.0000  0.5000  0.5000
Ta  0.1652  0.6660  0.8308
Ta  0.1661  0.1661  0.8282
Ta  0.3340  0.8348  0.1692
Ta  0.3351  0.3351  0.6636
Ta  0.5000  0.0000  0.5000
Ta  0.5000  0.5000  0.5000
Ta  0.6649  0.6649  0.3364
Ta  0.6660  0.1652  0.8308
Ta  0.8339  0.8339  0.1718
Ta  0.8348  0.3340  0.1692
Pb  0.0000  0.0000  0.5000
Pb  0.0000  0.5000  0.0000
Pb  0.1865  0.1865  0.3252
Pb  0.3472  0.3472  0.1774
Pb  0.5000  0.0000  0.0000
Pb  0.5000  0.5000  0.0000
Pb  0.6528  0.6528  0.8226
Pb  0.8135  0.8135  0.6748
O  0.0804  0.4608  0.6038
O  0.0866  0.4592  0.8553
O  0.1259  0.1259  0.1916
O  0.1265  0.1265  0.9396
O  0.1269  0.7460  0.9372
O  0.1282  0.7456  0.1845
O  0.1893  0.5900  0.7271
O  0.2024  0.5918  0.4814
O  0.2038  0.2038  0.4753
O  0.2127  0.2127  0.7313
O  0.2544  0.8718  0.8155
O  0.2540  0.8731  0.0628
O  0.3365  0.3365  0.0620
O  0.4082  0.7976  0.5186
O  0.4100  0.8107  0.2729
O  0.4547  0.4547  0.6025
O  0.4592  0.0866  0.8553
O  0.4608  0.0804  0.6038
O  0.4622  0.4622  0.8487
O  0.5378  0.5378  0.1513
O  0.5392  0.9196  0.3962
O  0.5408  0.9134  0.1447
O  0.5453  0.5453  0.3975
O  0.5900  0.1893  0.7271
O  0.5918  0.2024  0.4814
O  0.6635  0.6635  0.9380
O  0.7460  0.1269  0.9372
O  0.7456  0.1282  0.1845
O  0.7873  0.7873  0.2687
O  0.7962  0.7962  0.5247
O  0.7976  0.4082  0.5186
O  0.8107  0.4100  0.2729
O  0.8718  0.2544  0.8155
O  0.8731  0.2540  0.0628
O  0.8735  0.8735  0.0604
O  0.8741  0.8741  0.8084
O  0.9134  0.5408  0.1447
O  0.9196  0.5392  0.3962



Record 6
The following is a simulated X-ray diffraction stick pattern of Ta2Pb2O7. It was derived from the GGA-PBE geometry in Alexandria, using a wavelength of 1.5418 Å.
Peak positions follow from Bragg's law for the DFT cell and can differ from measured ones.

Main lines, sorted by position (2θ from 10° to 80°):
25.9°, intensity 27
28.7°, intensity 100
30.1°, intensity 33
30.4°, intensity 52
31.6°, intensity 65
45.4°, intensity 34
53.0°, intensity 26
57.4°, intensity 29

Structure:
Unit cell a=13.9119 b=13.9119 c=5.8845 alpha=90.00 beta=90.00 gamma=163.49
Atoms (fractional coordinates):
Ta  0.0562  0.9438  0.5000
Ta  0.1593  0.8407  0.0014
Ta  0.8407  0.1593  0.5014
Ta  0.9438  0.0562  0.0000
Pb  0.2852  0.7148  0.9924
Pb  0.4449  0.5551  0.4769
Pb  0.5551  0.4449  0.9769
Pb  0.7148  0.2852  0.4924
O  0.0015  0.9985  0.2890
O  0.0977  0.9023  0.7884
O  0.1044  0.8956  0.2778
O  0.2053  0.7947  0.7651
O  0.2099  0.7901  0.2254
O  0.3505  0.6495  0.5116
O  0.4491  0.5509  0.0424
O  0.5509  0.4491  0.5424
O  0.6495  0.3505  0.0116
O  0.7901  0.2099  0.7254
O  0.7947  0.2053  0.2651
O  0.8956  0.1044  0.7778
O  0.9023  0.0977  0.2884
O  0.9985  0.0015  0.7890



Record 7
The following is a simulated X-ray diffraction stick pattern of Ta2PbO6. It was derived from the GGA-PBE geometry in Alexandria, using a wavelength of 1.5418 Å.
Peak positions follow from Bragg's law for the DFT cell and can differ from measured ones.

Main lines, sorted by position (2θ from 10° to 80°):
28.0°, intensity 22
28.5°, intensity 75
29.0°, intensity 100
31.1°, intensity 30
39.7°, intensity 20
47.0°, intensity 17
51.3°, intensity 25
55.9°, intensity 24

Structure:
Unit cell a=11.2181 b=7.7314 c=5.7450 alpha=90.00 beta=90.00 gamma=90.00
Atoms (fractional coordinates):
Ta  0.1428  0.0034  0.0336
Ta  0.1428  0.4966  0.0336
Ta  0.3572  0.5034  0.5336
Ta  0.3572  0.9966  0.5336
Ta  0.6428  0.0034  0.4664
Ta  0.6428  0.4966  0.4664
Ta  0.8572  0.5034  0.9664
Ta  0.8572  0.9966  0.9664
Pb  0.0360  0.7500  0.5379
Pb  0.4640  0.2500  0.0379
Pb  0.5360  0.7500  0.9621
Pb  0.9640  0.2500  0.4621
O  0.0220  0.0337  0.7845
O  0.0220  0.4663  0.7845
O  0.1310  0.2500  0.1306
O  0.1457  0.7500  0.9712
O  0.2178  0.5455  0.3477
O  0.2178  0.9545  0.3477
O  0.2822  0.0455  0.8477
O  0.2822  0.4545  0.8477
O  0.3543  0.2500  0.4712
O  0.3690  0.7500  0.6306
O  0.4780  0.5337  0.2845
O  0.4780  0.9663  0.2845
O  0.5220  0.0337  0.7155
O  0.5220  0.4663  0.7155
O  0.6310  0.2500  0.3694
O  0.6457  0.7500  0.5288
O  0.7178  0.5455  0.1523
O  0.7178  0.9545  0.1523
O  0.7822  0.0455  0.6523
O  0.7822  0.4545  0.6523
O  0.8543  0.2500  0.0288
O  0.8690  0.7500  0.8694
O  0.9780  0.5337  0.2155
O  0.9780  0.9663  0.2155



Record 8
The following is a simulated X-ray diffraction stick pattern of Zr2TaPbO8. It was derived from the GGA-PBE geometry in Alexandria, using a wavelength of 1.5418 Å.
Peak positions follow from Bragg's law for the DFT cell and can differ from measured ones.

Main lines, sorted by position (2θ from 10° to 80°):
17.9°, intensity 23
25.5°, intensity 100
32.2°, intensity 88
36.3°, intensity 25
49.3°, intensity 69
52.3°, intensity 16
61.2°, intensity 17
62.8°, intensity 20

Structure:
Unit cell a=4.9474 b=4.9474 c=6.7172 alpha=90.00 beta=90.00 gamma=90.05
Atoms (fractional coordinates):
Zr  0.0000  0.0000  0.2447
Zr  0.0000  0.0000  0.7553
Ta  0.5000  0.5000  0.0000
Pb  0.5000  0.5000  0.5000
O  0.1769  0.8231  0.5000
O  0.2054  0.7946  0.0000
O  0.3020  0.3020  0.2135
O  0.3020  0.3020  0.7865
O  0.6980  0.6980  0.2135
O  0.6980  0.6980  0.7865
O  0.7946  0.2054  0.0000
O  0.8231  0.1769  0.5000